# BaThMoN4
Calculated XRD peak list, CuKα. Input: DFT lattice parameters and positions (GGA-PBE).
No peak broadening, texture or thermal motion is included.

Atomic structure:
```
data_BaThMoN4
_space_group_name_H-M_alt 'P 1'
_space_group_IT_number 1
_space_group_name_Hall 'P 1'
_cell_length_a 6.213
_cell_length_b 6.019
_cell_length_c 7.553
_cell_angle_alpha 90.00
_cell_angle_beta 106.61
_cell_angle_gamma 90.00
loop_
_atom_site_label
_atom_site_type_symbol
_atom_site_fract_x
_atom_site_fract_y
_atom_site_fract_z
Ba1 Ba 0.208 0.250 0.421
Ba2 Ba 0.792 0.750 0.579
Th1 Th 0.293 0.250 0.947
Th2 Th 0.707 0.750 0.053
Mo1 Mo 0.244 0.750 0.169
Mo2 Mo 0.756 0.250 0.831
N1 N 0.045 0.750 0.938
N2 N 0.049 0.750 0.319
N3 N 0.447 0.510 0.190
N4 N 0.447 0.990 0.190
N5 N 0.553 0.010 0.810
N6 N 0.553 0.490 0.810
N7 N 0.951 0.250 0.681
N8 N 0.955 0.250 0.062
```

Top 8 peaks for 15° ≤ 2θ ≤ 90°, low angle first:
| d [Å] | I_rel | (hkl) |
| --- | --- | --- |
| 4.233 | 100 | 1 1 0 |
| 3.102 | 84 | 0 1 2 |
| 3.077 | 59 | 1 1 -2 |
| 3.009 | 82 | 0 2 0 |
| 2.977 | 49 | 2 0 0 |
| 2.510 | 56 | 1 1 2 |
| 2.471 | 62 | 2 1 -2 |
| 2.116 | 48 | 2 2 0 |